(1)
The following is a theoretical X-ray diffraction stick pattern of RbMgCoF6. It was derived from a GGA+U-relaxed structure, using Cu Kα.

Most intense lines, 2θ = 10–80°, by angle:
| Position (°2θ) | d_spacing | I/Imax |
| --- | --- | --- |
| 24.25 | 3.671 | 21 |
| 24.45 | 3.641 | 13 |
| 28.49 | 3.133 | 100 |
| 28.66 | 3.114 | 25 |
| 29.73 | 3.005 | 10 |
| 29.95 | 2.984 | 13 |
| 45.27 | 2.003 | 16 |
| 45.61 | 1.989 | 20 |
| 49.68 | 1.835 | 33 |
| 69.39 | 1.354 | 11 |

Atomic structure:
Cell: 7.341 7.341 7.341 Å, 120.53 119.84 89.68°
Positions (direct):
Rb1 0.368 0.118 0.250
Rb2 0.632 0.882 0.750
Mg1 0.000 0.000 0.500
Mg2 0.000 0.500 0.000
Co1 0.000 0.500 0.500
Co2 0.500 0.500 0.000
F1 0.070 0.820 0.250
F2 0.071 0.432 0.259
F3 0.071 0.812 0.638
F4 0.317 0.567 0.750
F5 0.326 0.188 0.759
F6 0.326 0.568 0.138
F7 0.674 0.432 0.862
F8 0.674 0.812 0.241
F9 0.683 0.433 0.250
F10 0.929 0.188 0.362
F11 0.929 0.568 0.741
F12 0.930 0.180 0.750



(2)
The following is a theoretical X-ray diffraction stick pattern of LiMnO2. It was derived from a GGA+U-relaxed structure, using Cu Kα.

Most intense lines, 2θ = 10–80°, by angle:
| Position (°2θ) | d_spacing | I/Imax |
| --- | --- | --- |
| 19.58 | 4.533 | 94 |
| 22.59 | 3.936 | 84 |
| 26.61 | 3.350 | 53 |
| 28.56 | 3.126 | 41 |
| 36.88 | 2.437 | 42 |
| 41.17 | 2.193 | 100 |
| 43.27 | 2.091 | 87 |
| 44.29 | 2.045 | 81 |
| 61.39 | 1.510 | 26 |
| 62.19 | 1.493 | 29 |

Atomic structure:
Cell: 5.251 5.870 7.316 Å, 91.01 93.44 90.72°
Positions (direct):
Li1 0.094 0.374 0.321
Li2 0.263 0.620 0.992
Li3 0.405 0.870 0.673
Li4 0.595 0.130 0.327
Li5 0.737 0.380 0.008
Li6 0.906 0.626 0.679
Mn1 0.089 0.877 0.335
Mn2 0.254 0.134 0.005
Mn3 0.416 0.384 0.667
Mn4 0.584 0.616 0.333
Mn5 0.746 0.866 0.995
Mn6 0.911 0.123 0.665
O1 0.081 0.901 0.833
O2 0.113 0.363 0.827
O3 0.219 0.129 0.510
O4 0.269 0.639 0.479
O5 0.390 0.887 0.169
O6 0.413 0.369 0.164
O7 0.587 0.631 0.836
O8 0.610 0.113 0.831
O9 0.731 0.361 0.521
O10 0.781 0.871 0.490
O11 0.887 0.637 0.173
O12 0.919 0.099 0.167



(3)
The following is a theoretical X-ray diffraction stick pattern of Y2MgCr2O8. It was derived from a GGA+U-relaxed structure, using Cu Kα.

Most intense lines, 2θ = 10–80°, by angle:
| Position (°2θ) | d_spacing | I/Imax |
| --- | --- | --- |
| 23.89 | 3.725 | 100 |
| 24.59 | 3.621 | 95 |
| 32.27 | 2.774 | 77 |
| 33.37 | 2.685 | 74 |
| 34.54 | 2.596 | 44 |
| 38.17 | 2.358 | 21 |
| 46.80 | 1.941 | 26 |
| 48.38 | 1.881 | 31 |
| 49.18 | 1.853 | 67 |
| 61.82 | 1.501 | 27 |

Atomic structure:
Cell: 6.008 6.008 6.423 Å, 120.15 120.15 74.13°
Positions (direct):
Y1 0.226 0.226 0.089
Y2 0.774 0.774 0.911
Mg1 0.783 0.217 0.500
Cr1 0.302 0.237 0.637
Cr2 0.763 0.698 0.363
O1 0.052 0.094 0.291
O2 0.085 0.428 0.802
O3 0.437 0.043 0.808
O4 0.509 0.404 0.645
O5 0.572 0.915 0.198
O6 0.596 0.491 0.355
O7 0.906 0.948 0.709
O8 0.957 0.563 0.192



(4)
The following is a theoretical X-ray diffraction stick pattern of Sr2CoMoO6. It was derived from a GGA+U-relaxed structure, using Cu Kα.

Most intense lines, 2θ = 10–80°, by angle:
| Position (°2θ) | d_spacing | I/Imax |
| --- | --- | --- |
| 31.53 | 2.837 | 100 |
| 32.68 | 2.740 | 45 |
| 43.45 | 2.083 | 20 |
| 46.89 | 1.938 | 32 |
| 55.41 | 1.658 | 20 |
| 57.61 | 1.600 | 36 |
| 65.84 | 1.419 | 21 |
| 68.48 | 1.370 | 9 |
| 72.29 | 1.307 | 9 |
| 77.34 | 1.234 | 8 |

Atomic structure:
Cell: 5.689 5.689 5.689 Å, 122.41 122.41 85.87°
Positions (direct):
Sr1 0.250 0.750 0.500
Sr2 0.750 0.250 0.500
Co1 0.000 0.000 0.000
Mo1 0.500 0.500 0.000
O1 0.250 0.250 0.500
O2 0.250 0.750 0.000
O3 0.266 0.266 0.000
O4 0.734 0.734 0.000
O5 0.750 0.250 0.000
O6 0.750 0.750 0.500



(5)
The following is a theoretical X-ray diffraction stick pattern of MgFeCo5O12. It was derived from a GGA+U-relaxed structure, using Cu Kα.

Most intense lines, 2θ = 10–80°, by angle:
| Position (°2θ) | d_spacing | I/Imax |
| --- | --- | --- |
| 18.19 | 4.878 | 100 |
| 36.26 | 2.478 | 9 |
| 36.86 | 2.439 | 21 |
| 38.23 | 2.354 | 23 |
| 43.28 | 2.090 | 7 |
| 44.40 | 2.040 | 14 |
| 47.79 | 1.903 | 16 |
| 48.44 | 1.879 | 7 |
| 58.07 | 1.588 | 9 |
| 64.71 | 1.440 | 10 |

Atomic structure:
Cell: 4.958 4.958 9.860 Å, 94.19 94.19 119.32°
Positions (direct):
Mg1 0.000 0.000 0.000
Fe1 0.909 0.909 0.709
Co1 0.061 0.730 0.256
Co2 0.258 0.592 0.764
Co3 0.397 0.397 0.258
Co4 0.592 0.258 0.764
Co5 0.730 0.061 0.256
O1 0.032 0.355 0.154
O2 0.060 0.060 0.357
O3 0.271 0.894 0.656
O4 0.274 0.274 0.858
O5 0.355 0.032 0.154
O6 0.425 0.762 0.348
O7 0.521 0.521 0.657
O8 0.628 0.953 0.859
O9 0.733 0.733 0.145
O10 0.762 0.425 0.348
O11 0.894 0.271 0.656
O12 0.953 0.628 0.859



(6)
The following is a theoretical X-ray diffraction stick pattern of BaMn2V2O8. It was derived from a GGA+U-relaxed structure, using Cu Kα.

Most intense lines, 2θ = 10–80°, by angle:
| Position (°2θ) | d_spacing | I/Imax |
| --- | --- | --- |
| 22.36 | 3.977 | 27 |
| 24.44 | 3.642 | 30 |
| 29.89 | 2.989 | 100 |
| 30.47 | 2.934 | 42 |
| 31.20 | 2.867 | 57 |
| 34.18 | 2.623 | 21 |
| 42.29 | 2.137 | 24 |
| 45.62 | 1.988 | 24 |
| 46.10 | 1.969 | 34 |
| 60.20 | 1.537 | 40 |

Atomic structure:
Cell: 10.088 10.088 10.088 Å, 101.09 101.09 127.97°
Positions (direct):
Ba1 0.125 0.875 0.250
Ba2 0.375 0.625 0.750
Ba3 0.625 0.375 0.250
Ba4 0.875 0.125 0.750
Mn1 0.043 0.793 0.585
Mn2 0.207 0.293 0.250
Mn3 0.293 0.543 0.085
Mn4 0.457 0.043 0.750
Mn5 0.543 0.957 0.250
Mn6 0.707 0.457 0.915
Mn7 0.793 0.707 0.750
Mn8 0.957 0.207 0.415
V1 0.170 0.750 0.920
V2 0.250 0.170 0.920
V3 0.250 0.670 0.420
V4 0.330 0.250 0.580
V5 0.670 0.750 0.420
V6 0.750 0.330 0.580
V7 0.750 0.830 0.080
V8 0.830 0.250 0.080
O1 0.037 0.311 0.085
O2 0.047 0.963 0.773
O3 0.071 0.662 0.412
O4 0.159 0.250 0.588
O5 0.162 0.571 0.912
O6 0.189 0.463 0.415
O7 0.226 0.811 0.773
O8 0.250 0.162 0.091
O9 0.250 0.341 0.912
O10 0.274 0.047 0.585
O11 0.311 0.726 0.273
O12 0.338 0.250 0.409
O13 0.341 0.929 0.091
O14 0.429 0.841 0.591
O15 0.453 0.226 0.915
O16 0.463 0.547 0.273
O17 0.537 0.453 0.727
O18 0.547 0.774 0.085
O19 0.571 0.159 0.409
O20 0.659 0.071 0.909
O21 0.662 0.750 0.591
O22 0.689 0.274 0.727
O23 0.726 0.953 0.415
O24 0.750 0.659 0.088
O25 0.750 0.838 0.909
O26 0.774 0.189 0.227
O27 0.811 0.537 0.585
O28 0.838 0.429 0.088
O29 0.841 0.750 0.412
O30 0.929 0.338 0.588
O31 0.953 0.037 0.227
O32 0.963 0.689 0.915